Starting from the GGA-PBE geometry in Alexandria, the powder diffractogram of Mg5AlIn2 was simulated for Cu Kα, 1.54184 Å.

Most intense lines, 10 to 90 degrees two-theta, by intensity:
| 2theta | d_spacing | Rel. int. |
| --- | --- | --- |
| 36.94 | 2.433 | 100.0 |
| 25.40 | 3.507 | 79.5 |
| 21.60 | 4.114 | 60.6 |
| 39.53 | 2.280 | 57.3 |
| 35.49 | 2.529 | 46.8 |
| 21.08 | 4.214 | 38.6 |

Crystal structure
abc: 4.8662 4.8662 18.9751
angles: 90.00 90.00 120.00
Positions (direct):
1 Mg 0.0000 0.0000 0.1649
2 Mg 0.0000 0.0000 0.3351
3 Mg 0.0000 0.0000 0.6649
4 Mg 0.0000 0.0000 0.8351
5 Mg 0.3333 0.6667 0.0540
6 Mg 0.3333 0.6667 0.2500
7 Mg 0.3333 0.6667 0.4460
8 Mg 0.6667 0.3333 0.5540
9 Mg 0.6667 0.3333 0.7500
10 Mg 0.6667 0.3333 0.9460
11 Al 0.3333 0.6667 0.7500
12 Al 0.6667 0.3333 0.2500
13 In 0.3333 0.6667 0.6021
14 In 0.3333 0.6667 0.8979
15 In 0.6667 0.3333 0.1021
16 In 0.6667 0.3333 0.3979



Starting from the GGA-PBE geometry in Alexandria, the powder diffractogram of KIn3F9 was simulated for Cu Kα, 1.54184 Å.

Most intense lines, 10 to 90 degrees two-theta, by intensity:
| 2theta | d_spacing | Rel. int. |
| --- | --- | --- |
| 21.37 | 4.157 | 100.0 |
| 24.32 | 3.660 | 85.0 |
| 17.95 | 4.943 | 67.5 |
| 43.52 | 2.079 | 49.4 |
| 25.35 | 3.514 | 48.8 |
| 28.05 | 3.181 | 47.4 |

Crystal structure
abc: 6.1458 8.3140 8.8386
angles: 90.00 92.46 90.00
Positions (direct):
1 K 0.0320 0.2500 0.4455
2 K 0.9680 0.7500 0.5545
3 In 0.0000 0.0000 0.0000
4 In 0.0000 0.5000 0.0000
5 In 0.4692 0.0023 0.6977
6 In 0.4692 0.4977 0.6977
7 In 0.5308 0.5023 0.3023
8 In 0.5308 0.9977 0.3023
9 F 0.0823 0.2500 0.9852
10 F 0.1556 0.5502 0.7895
11 F 0.1556 0.9498 0.7895
12 F 0.2849 0.5337 0.4755
13 F 0.2849 0.9663 0.4755
14 F 0.3046 0.5465 0.1186
15 F 0.3046 0.9535 0.1186
16 F 0.3701 0.2500 0.6740
17 F 0.4422 0.2500 0.3036
18 F 0.5578 0.7500 0.6964
19 F 0.6299 0.7500 0.3260
20 F 0.6954 0.0465 0.8814
21 F 0.6954 0.4535 0.8814
22 F 0.7151 0.0337 0.5245
23 F 0.7151 0.4663 0.5245
24 F 0.8444 0.0502 0.2105
25 F 0.8444 0.4498 0.2105
26 F 0.9177 0.7500 0.0148



Starting from the GGA-PBE geometry in Alexandria, the powder diffractogram of MgFeRu was simulated for Cu Kα, 1.54184 Å.

Most intense lines, 10 to 90 degrees two-theta, by intensity:
| 2theta | d_spacing | Rel. int. |
| --- | --- | --- |
| 21.95 | 4.050 | 100.0 |
| 41.71 | 2.166 | 73.0 |
| 43.35 | 2.087 | 59.0 |
| 44.76 | 2.025 | 52.3 |
| 41.95 | 2.154 | 36.7 |
| 75.32 | 1.262 | 28.1 |

Crystal structure
abc: 4.9005 5.1259 7.1929
angles: 90.00 90.00 90.00
Positions (direct):
1 Mg 0.0000 0.2500 0.1281
2 Mg 0.0000 0.7500 0.8719
3 Mg 0.5000 0.2500 0.3719
4 Mg 0.5000 0.7500 0.6281
5 Fe 0.2500 0.2500 0.7500
6 Fe 0.2500 0.7500 0.2500
7 Fe 0.7500 0.2500 0.7500
8 Fe 0.7500 0.7500 0.2500
9 Ru 0.0000 0.0000 0.5000
10 Ru 0.0000 0.5000 0.5000
11 Ru 0.5000 0.0000 0.0000
12 Ru 0.5000 0.5000 0.0000



Starting from the GGA-PBE geometry in Alexandria, the powder diffractogram of TbZn6CuAg was simulated for Cu Kα, 1.54184 Å.

Most intense lines, 10 to 90 degrees two-theta, by intensity:
| 2theta | d_spacing | Rel. int. |
| --- | --- | --- |
| 37.44 | 2.402 | 100.0 |
| 34.75 | 2.582 | 88.9 |
| 40.70 | 2.217 | 82.3 |
| 28.72 | 3.108 | 68.8 |
| 39.35 | 2.290 | 62.8 |
| 32.64 | 2.743 | 58.4 |

Crystal structure
abc: 7.7751 7.7751 7.7751
angles: 126.64 110.46 93.08
Positions (direct):
1 Tb 0.4544 0.2044 0.2500
2 Tb 0.5456 0.7956 0.7500
3 Zn 0.1382 0.4321 0.3212
4 Zn 0.1382 0.8170 0.7061
5 Zn 0.1783 0.9283 0.2500
6 Zn 0.2388 0.4888 0.7500
7 Zn 0.3891 0.1830 0.8212
8 Zn 0.3891 0.5679 0.2061
9 Zn 0.6109 0.4321 0.7939
10 Zn 0.6109 0.8170 0.1788
11 Zn 0.7612 0.5112 0.2500
12 Zn 0.8217 0.0717 0.7500
13 Zn 0.8618 0.1830 0.2939
14 Zn 0.8618 0.5679 0.6788
15 Cu 0.0000 0.0000 0.0000
16 Cu 0.5000 0.0000 0.5000
17 Ag 0.0000 0.0000 0.5000
18 Ag 0.0000 0.5000 0.0000



Starting from the GGA-PBE geometry in Alexandria, the powder diffractogram of NpFeOs was simulated for Cu Kα, 1.54184 Å.

Most intense lines, 10 to 90 degrees two-theta, by intensity:
| 2theta | d_spacing | Rel. int. |
| --- | --- | --- |
| 39.67 | 2.272 | 100.0 |
| 34.91 | 2.570 | 65.7 |
| 41.35 | 2.184 | 65.2 |
| 44.14 | 2.052 | 39.7 |
| 40.46 | 2.229 | 39.5 |
| 19.91 | 4.459 | 37.5 |

Crystal structure
abc: 4.6224 5.5723 7.4328
angles: 90.00 90.00 90.00
Positions (direct):
1 Np 0.0000 0.2500 0.1443
2 Np 0.0000 0.7500 0.8557
3 Np 0.5000 0.2500 0.3557
4 Np 0.5000 0.7500 0.6443
5 Fe 0.2500 0.2500 0.7500
6 Fe 0.2500 0.7500 0.2500
7 Fe 0.7500 0.2500 0.7500
8 Fe 0.7500 0.7500 0.2500
9 Os 0.0000 0.0000 0.5000
10 Os 0.0000 0.5000 0.5000
11 Os 0.5000 0.0000 0.0000
12 Os 0.5000 0.5000 0.0000



Starting from the GGA-PBE geometry in Alexandria, the powder diffractogram of Cs3LiBi4 was simulated for Cu Kα, 1.54184 Å.

Most intense lines, 10 to 90 degrees two-theta, by intensity:
| 2theta | d_spacing | Rel. int. |
| --- | --- | --- |
| 14.31 | 6.189 | 100.0 |
| 21.52 | 4.129 | 84.2 |
| 30.44 | 2.937 | 80.2 |
| 29.81 | 2.997 | 69.1 |
| 33.28 | 2.692 | 62.5 |
| 29.07 | 3.072 | 54.0 |

Crystal structure
abc: 7.2246 15.0692 6.7877
angles: 90.00 90.00 90.00
Positions (direct):
1 Cs 0.2500 0.0063 0.1777
2 Cs 0.2500 0.2500 0.5693
3 Cs 0.2500 0.4937 0.1777
4 Cs 0.7500 0.5063 0.8223
5 Cs 0.7500 0.7500 0.4307
6 Cs 0.7500 0.9937 0.8223
7 Li 0.2500 0.7500 0.3269
8 Li 0.7500 0.2500 0.6731
9 Bi 0.0104 0.7500 0.9240
10 Bi 0.2500 0.6160 0.6693
11 Bi 0.2500 0.8840 0.6693
12 Bi 0.4896 0.7500 0.9240
13 Bi 0.5104 0.2500 0.0760
14 Bi 0.7500 0.1160 0.3307
15 Bi 0.7500 0.3840 0.3307
16 Bi 0.9896 0.2500 0.0760



Starting from the GGA-PBE geometry in Alexandria, the powder diffractogram of AuBrF6 was simulated for Cu Kα, 1.54184 Å.

Most intense lines, 10 to 90 degrees two-theta, by intensity:
| 2theta | d_spacing | Rel. int. |
| --- | --- | --- |
| 22.37 | 3.974 | 100.0 |
| 25.26 | 3.525 | 84.4 |
| 23.28 | 3.821 | 72.1 |
| 25.77 | 3.458 | 56.3 |
| 51.71 | 1.768 | 29.1 |
| 49.05 | 1.857 | 27.5 |

Crystal structure
abc: 5.5702 5.7816 9.0561
angles: 90.00 100.79 90.00
Positions (direct):
1 Au 0.2392 0.0000 0.4068
2 Au 0.7608 0.5000 0.5932
3 Br 0.0421 0.0109 0.8247
4 Br 0.9579 0.5109 0.1753
5 F 0.1716 0.2006 0.2212
6 F 0.2137 0.2710 0.8776
7 F 0.2226 0.2644 0.5364
8 F 0.2606 0.7286 0.2699
9 F 0.2922 0.8342 0.9141
10 F 0.3106 0.8003 0.5816
11 F 0.6894 0.3003 0.4184
12 F 0.7078 0.3342 0.0859
13 F 0.7394 0.2286 0.7301
14 F 0.7774 0.7644 0.4636
15 F 0.7863 0.7710 0.1224
16 F 0.8284 0.7006 0.7788



Starting from the GGA-PBE geometry in Alexandria, the powder diffractogram of NaYB4H16 was simulated for Cu Kα, 1.54184 Å.

Most intense lines, 10 to 90 degrees two-theta, by intensity:
| 2theta | d_spacing | Rel. int. |
| --- | --- | --- |
| 16.13 | 5.495 | 100.0 |
| 17.74 | 4.999 | 59.6 |
| 23.61 | 3.768 | 38.1 |
| 24.52 | 3.631 | 27.3 |
| 20.86 | 4.259 | 26.7 |
| 27.51 | 3.242 | 25.6 |

Crystal structure
abc: 7.3746 7.3746 8.9681
angles: 90.00 90.00 109.45
Positions (direct):
1 Na 0.0514 0.0514 0.0000
2 Na 0.9486 0.9486 0.5000
3 Y 0.3495 0.6505 0.2500
4 Y 0.6505 0.3495 0.7500
5 B 0.2282 0.2937 0.2527
6 B 0.2313 0.7680 0.4741
7 B 0.2320 0.7687 0.0259
8 B 0.2937 0.2282 0.7473
9 B 0.7063 0.7718 0.2473
10 B 0.7680 0.2313 0.5259
11 B 0.7687 0.2320 0.9741
12 B 0.7718 0.7063 0.7527
13 H 0.0984 0.6952 0.3847
14 H 0.1013 0.3652 0.2773
15 H 0.1012 0.6445 0.0925
16 H 0.1202 0.1643 0.7407
17 H 0.1643 0.1202 0.2593
18 H 0.1745 0.8218 0.9138
19 H 0.1782 0.8255 0.5862
20 H 0.2969 0.3509 0.1283
21 H 0.3015 0.6426 0.5063
22 H 0.3048 0.9016 0.1153
23 H 0.3509 0.2969 0.8717
24 H 0.3555 0.8988 0.4075
25 H 0.3574 0.6985 0.9937
26 H 0.3575 0.3583 0.3454
27 H 0.3583 0.3575 0.6546
28 H 0.3652 0.1013 0.7227
29 H 0.6348 0.8987 0.2227
30 H 0.6417 0.6425 0.1546
31 H 0.6425 0.6417 0.8454
32 H 0.6426 0.3015 0.4937
33 H 0.6445 0.1012 0.9075
34 H 0.6491 0.7031 0.3717
35 H 0.6952 0.0984 0.6153
36 H 0.6985 0.3574 0.0063
37 H 0.7031 0.6491 0.6283
38 H 0.8218 0.1745 0.0862
39 H 0.8255 0.1782 0.4138
40 H 0.8357 0.8798 0.7593
41 H 0.8798 0.8357 0.2407
42 H 0.8988 0.3555 0.5925
43 H 0.8987 0.6348 0.7773
44 H 0.9016 0.3048 0.8847